Structure and calculated X-ray diffraction stick pattern of Y2Al (a DFT-relaxed cell (PBE, Alexandria); λ = 1.5418 Å (Cu Kα)).
Neutral-atom scattering factors, no anomalous dispersion.

abc: 13.889 3.471 6.914
angles: 90.00 104.39 90.00
Atoms (fractional coordinates):
Y 0.139 0.000 0.067
Y 0.154 0.000 0.583
Y 0.346 0.500 0.417
Y 0.361 0.500 0.933
Y 0.639 0.500 0.067
Y 0.654 0.500 0.583
Y 0.846 0.000 0.417
Y 0.861 0.000 0.933
Al 0.002 0.500 0.276
Al 0.498 0.000 0.724
Al 0.502 0.000 0.276
Al 0.998 0.500 0.724

The 10 most intense peaks (10° ≤ 2θ ≤ 90°), sorted by position:
2theta, I (rel.), (hkl)
26.51, 33.4, 4 0 0
26.62, 15.8, 2 0 -2
32.66, 100.0, 3 1 0
36.69, 40.8, 1 1 -2
40.22, 8.8, 6 0 0
45.83, 16.1, 5 1 -2
54.61, 13.6, 8 0 -2
55.57, 13.0, 7 1 -2
63.46, 14.0, 4 2 -2
63.61, 12.9, 5 1 -4